1.
This entry pairs a crystal structure of GaAgPtPb2 with its calculated XRD peak list. Radiation: copper Kα. Structure: DFT lattice parameters and positions (GGA-PBE).

Structure:
```
data_GaAgPtPb2
_chemical_formula_sum 'Ga1 Ag1 Pt1 Pb2'
_space_group_name_H-M_alt 'P m m m'
_space_group_IT_number 47
_space_group_name_Hall '-P 2 2'
_cell_length_a 3.547
_cell_length_b 3.560
_cell_length_c 9.427
_cell_angle_alpha 90.00
_cell_angle_beta 90.00
_cell_angle_gamma 90.00
loop_
_atom_site_label
_atom_site_type_symbol
_atom_site_fract_x
_atom_site_fract_y
_atom_site_fract_z
Ga1 Ga 0.000 0.000 0.000
Ag1 Ag 0.000 0.000 0.500
Pt1 Pt 0.500 0.500 0.000
Pb1 Pb 0.500 0.500 0.302
```

Main lines, sorted by position (2θ from 15° to 90°):
2θ 25.1, 3.553 Å, I = 65
2θ 28.4, 3.142 Å, I = 34
2θ 31.5, 2.837 Å, I = 44
2θ 35.7, 2.513 Å, I = 97
2θ 38.2, 2.354 Å, I = 100
2θ 46.3, 1.962 Å, I = 40
2θ 65.8, 1.420 Å, I = 24
2θ 65.9, 1.417 Å, I = 24

2.
This entry pairs a crystal structure of InCu5Cl12 with its calculated XRD peak list. Radiation: copper Kα. Structure: DFT lattice parameters and positions (GGA-PBE).

Structure:
```
data_InCu5Cl12
_chemical_formula_sum 'In2 Cu10 Cl24'
_space_group_name_H-M_alt 'C 1 2/m 1'
_space_group_IT_number 12
_space_group_name_Hall '-C 2y'
_cell_length_a 6.071
_cell_length_b 11.354
_cell_length_c 12.587
_cell_angle_alpha 90.00
_cell_angle_beta 91.11
_cell_angle_gamma 90.00
loop_
_atom_site_label
_atom_site_type_symbol
_atom_site_fract_x
_atom_site_fract_y
_atom_site_fract_z
In1 In 0.000 0.000 0.000
Cu1 Cu 0.000 0.167 0.500
Cu2 Cu 0.000 0.340 0.000
Cu3 Cu 0.000 0.500 0.500
Cl1 Cl 0.178 0.500 0.119
Cl2 Cl 0.192 0.000 0.395
Cl3 Cl 0.192 0.333 0.395
Cl4 Cl 0.197 0.164 0.108
```

Main lines, sorted by position (2θ from 15° to 90°):
2θ 28.6, 3.119 Å, I = 64
2θ 28.8, 3.104 Å, I = 68
2θ 31.4, 2.849 Å, I = 91
2θ 35.0, 2.563 Å, I = 100
2θ 35.4, 2.537 Å, I = 88
2θ 41.7, 2.164 Å, I = 59
2θ 45.6, 1.991 Å, I = 64
2θ 51.9, 1.763 Å, I = 68

3.
This entry pairs a crystal structure of PuAl2Cl8 with its calculated XRD peak list. Radiation: copper Kα. Structure: DFT lattice parameters and positions (GGA-PBE).

Structure:
```
data_PuAl2Cl8
_chemical_formula_sum 'Pu4 Al8 Cl32'
_space_group_name_H-M_alt 'C 1 2/c 1'
_space_group_IT_number 15
_space_group_name_Hall '-C 2yc'
_cell_length_a 18.191
_cell_length_b 9.955
_cell_length_c 9.829
_cell_angle_alpha 90.00
_cell_angle_beta 121.02
_cell_angle_gamma 90.00
loop_
_atom_site_label
_atom_site_type_symbol
_atom_site_fract_x
_atom_site_fract_y
_atom_site_fract_z
Pu1 Pu 0.000 0.032 0.250
Al1 Al 0.099 0.250 0.062
Cl1 Cl 0.036 0.174 0.563
Cl2 Cl 0.111 0.448 0.003
Cl3 Cl 0.137 0.220 0.309
Cl4 Cl 0.161 0.101 0.994
```

Main lines, sorted by position (2θ from 15° to 90°):
2θ 19.3, 4.606 Å, I = 77
2θ 20.8, 4.271 Å, I = 91
2θ 21.1, 4.205 Å, I = 100
2θ 25.5, 3.496 Å, I = 60
2θ 26.2, 3.404 Å, I = 43
2θ 28.2, 3.166 Å, I = 95
2θ 30.0, 2.975 Å, I = 58
2θ 42.9, 2.106 Å, I = 43